Record 1
For NaCuH3, a crystal structure in Alexandria, relaxed with GGA-PBE gives the theoretical powder XRD pattern in this record (Cu Kα X-rays).
Intensities are scaled so that the largest is 100.

Main lines, in order of rising 2θ (2θ = 15–90°):
| 2θ (°) | d [Å] | intensity | hkl |
| --- | --- | --- | --- |
| 18.49 | 4.798 | 31 | 1 0 0 |
| 19.03 | 4.663 | 100 | 1 0 -2 |
| 19.29 | 4.601 | 99 | 0 0 2 |
| 27.27 | 3.270 | 92 | 1 1 0 |
| 33.90 | 2.644 | 60 | 1 0 -4 |
| 38.37 | 2.346 | 52 | 2 1 -2 |
| 38.78 | 2.322 | 58 | 1 1 2 |
| 40.37 | 2.234 | 36 | 0 2 0 |

Cell and atoms:
```
data_NaCuH3
_chemical_formula_sum 'Na4 Cu4 H12'
_space_group_name_H-M_alt 'P 1 21/c 1'
_space_group_IT_number 14
_space_group_name_Hall '-P 2ybc'
_cell_length_a 5.516
_cell_length_b 4.468
_cell_length_c 10.579
_cell_angle_alpha 90.00
_cell_angle_beta 119.56
_cell_angle_gamma 90.00
loop_
_atom_site_label
_atom_site_type_symbol
_atom_site_fract_x
_atom_site_fract_y
_atom_site_fract_z
Na1 Na 0.097 0.240 0.146
Cu1 Cu 0.380 0.247 0.466
H1 H 0.053 0.222 0.404
H2 H 0.362 0.567 0.531
H3 H 0.447 0.507 0.876
```

Record 2
For Li2DyIO6, a crystal structure in Alexandria, relaxed with GGA-PBE gives the theoretical powder XRD pattern in this record (Cu Kα X-rays).
Intensities are scaled so that the largest is 100.

Main lines, in order of rising 2θ (2θ = 15–90°):
| 2θ (°) | d [Å] | intensity | hkl |
| --- | --- | --- | --- |
| 22.90 | 3.884 | 100 | 0 1 2 |
| 30.69 | 2.913 | 44 | 1 0 4 |
| 34.42 | 2.606 | 26 | 1 1 0 |
| 41.74 | 2.164 | 15 | 2 0 2 |
| 46.77 | 1.942 | 17 | 0 2 4 |
| 50.13 | 1.820 | 30 | 1 1 6 |
| 55.17 | 1.665 | 16 | 1 2 2 |
| 59.35 | 1.557 | 14 | 2 1 4 |

Cell and atoms:
```
data_Li2DyIO6
_chemical_formula_sum 'Li6 Dy3 I3 O18'
_space_group_name_H-M_alt 'R -3'
_space_group_IT_number 148
_space_group_name_Hall '-R 3'
_cell_length_a 5.2117
_cell_length_b 5.2117
_cell_length_c 15.2544
_cell_angle_alpha 90.00
_cell_angle_beta 90.00
_cell_angle_gamma 120.00
loop_
_atom_site_label
_atom_site_type_symbol
_atom_site_fract_x
_atom_site_fract_y
_atom_site_fract_z
Li1 Li 0.0000 0.0000 0.1993
Dy1 Dy 0.0000 0.0000 0.0000
I1 I 0.0000 0.0000 0.5000
O1 O 0.0212 0.6421 0.2372
```

Record 3
For CaTlBiPtN, a crystal structure in Alexandria, relaxed with GGA-PBE gives the theoretical powder XRD pattern in this record (Cu Kα X-rays).
Intensities are scaled so that the largest is 100.

Main lines, in order of rising 2θ (2θ = 15–90°):
| 2θ (°) | d [Å] | intensity | hkl |
| --- | --- | --- | --- |
| 20.36 | 4.361 | 16 | 0 0 2 |
| 27.15 | 3.285 | 15 | 1 0 1 |
| 32.54 | 2.751 | 100 | 1 0 2 |
| 35.81 | 2.508 | 53 | 1 1 0 |
| 49.04 | 1.857 | 22 | 1 0 4 |
| 51.54 | 1.773 | 19 | 2 0 0 |
| 62.30 | 1.490 | 32 | 2 1 2 |
| 73.89 | 1.283 | 13 | 2 1 4 |

Cell and atoms:
```
data_CaTlBiPtN
_chemical_formula_sum 'Ca1 Tl1 Bi1 Pt1 N1'
_space_group_name_H-M_alt 'P 4 m m'
_space_group_IT_number 99
_space_group_name_Hall 'P 4 -2'
_cell_length_a 3.546
_cell_length_b 3.546
_cell_length_c 8.722
_cell_angle_alpha 90.00
_cell_angle_beta 90.00
_cell_angle_gamma 90.00
loop_
_atom_site_label
_atom_site_type_symbol
_atom_site_fract_x
_atom_site_fract_y
_atom_site_fract_z
Ca1 Ca 0.000 0.000 0.000
Tl1 Tl 0.500 0.500 0.286
Bi1 Bi 0.000 0.000 0.602
Pt1 Pt 0.500 0.500 0.770
N1 N 0.500 0.500 0.007
```

Record 4
For Y2Er4Mg, a crystal structure in Alexandria, relaxed with GGA-PBE gives the theoretical powder XRD pattern in this record (Cu Kα X-rays).
Intensities are scaled so that the largest is 100.

Main lines, in order of rising 2θ (2θ = 15–90°):
| 2θ (°) | d [Å] | intensity | hkl |
| --- | --- | --- | --- |
| 29.31 | 3.047 | 18 | 1 -1 3 |
| 32.09 | 2.789 | 47 | 0 2 2 |
| 33.22 | 2.697 | 33 | 2 1 2 |
| 33.32 | 2.689 | 100 | 1 2 -1 |
| 33.44 | 2.679 | 30 | 1 0 4 |
| 33.58 | 2.669 | 29 | 1 -2 2 |
| 43.88 | 2.063 | 20 | 1 1 5 |
| 57.99 | 1.590 | 20 | -1 2 5 |

Cell and atoms:
```
data_Y2Er4Mg
_chemical_formula_sum 'Y4 Er8 Mg2'
_space_group_name_H-M_alt 'P -1'
_space_group_IT_number 2
_space_group_name_Hall '-P 1'
_cell_length_a 6.150
_cell_length_b 6.588
_cell_length_c 10.874
_cell_angle_alpha 89.75
_cell_angle_beta 73.89
_cell_angle_gamma 89.58
loop_
_atom_site_label
_atom_site_type_symbol
_atom_site_fract_x
_atom_site_fract_y
_atom_site_fract_z
Y1 Y 0.094 0.244 0.000
Y2 Y 0.373 0.818 0.425
Er1 Er 0.072 0.036 0.712
Er2 Er 0.202 0.320 0.426
Er3 Er 0.229 0.539 0.719
Er4 Er 0.339 0.615 0.139
Mg1 Mg 0.493 0.891 0.857
```

Record 5
For YReBr, a crystal structure in Alexandria, relaxed with GGA-PBE gives the theoretical powder XRD pattern in this record (Cu Kα X-rays).
Intensities are scaled so that the largest is 100.

Main lines, in order of rising 2θ (2θ = 15–90°):
| 2θ (°) | d [Å] | intensity | hkl |
| --- | --- | --- | --- |
| 24.39 | 3.650 | 13 | 0 0 4 |
| 29.56 | 3.022 | 16 | 1 1 1 |
| 34.39 | 2.608 | 100 | 1 1 3 |
| 36.27 | 2.477 | 25 | 0 2 0 |
| 36.94 | 2.433 | 13 | 0 0 6 |
| 42.61 | 2.122 | 18 | 1 1 5 |
| 45.95 | 1.975 | 13 | 2 0 0 |
| 64.04 | 1.454 | 16 | 1 3 3 |

Cell and atoms:
```
data_YReBr
_chemical_formula_sum 'Y4 Re4 Br4'
_space_group_name_H-M_alt 'F m m 2'
_space_group_IT_number 42
_space_group_name_Hall 'F 2 -2'
_cell_length_a 3.950
_cell_length_b 4.954
_cell_length_c 14.599
_cell_angle_alpha 90.00
_cell_angle_beta 90.00
_cell_angle_gamma 90.00
loop_
_atom_site_label
_atom_site_type_symbol
_atom_site_fract_x
_atom_site_fract_y
_atom_site_fract_z
Y1 Y 0.000 0.000 0.000
Re1 Re 0.000 0.000 0.360
Br1 Br 0.000 0.000 0.643
```

Record 6
For Pr8Dy4Tm3, a crystal structure in Alexandria, relaxed with GGA-PBE gives the theoretical powder XRD pattern in this record (Cu Kα X-rays).
Intensities are scaled so that the largest is 100.

Main lines, in order of rising 2θ (2θ = 15–90°):
| 2θ (°) | d [Å] | intensity | hkl |
| --- | --- | --- | --- |
| 26.38 | 3.378 | 21 | 1 1 3 |
| 29.41 | 3.037 | 32 | 0 2 1 |
| 29.83 | 2.995 | 59 | 0 0 12 |
| 30.97 | 2.888 | 100 | 0 2 4 |
| 35.58 | 2.523 | 72 | 2 0 8 |
| 50.45 | 1.809 | 29 | 0 2 16 |
| 51.94 | 1.761 | 39 | 2 2 0 |
| 61.05 | 1.518 | 47 | 2 2 12 |

Cell and atoms:
```
data_Pr8Dy4Tm3
_chemical_formula_sum 'Pr24 Dy12 Tm9'
_space_group_name_H-M_alt 'R -3 m'
_space_group_IT_number 166
_space_group_name_Hall '-R 3 2"'
_cell_length_a 7.0425
_cell_length_b 7.0425
_cell_length_c 35.9370
_cell_angle_alpha 90.00
_cell_angle_beta 90.00
_cell_angle_gamma 120.00
loop_
_atom_site_label
_atom_site_type_symbol
_atom_site_fract_x
_atom_site_fract_y
_atom_site_fract_z
Pr1 Pr 0.0000 0.0000 0.2453
Pr2 Pr 0.0013 0.5007 0.7506
Dy1 Dy 0.0000 0.0000 0.0000
Dy2 Dy 0.0000 0.0000 0.3355
Dy3 Dy 0.0000 0.0000 0.5000
Tm1 Tm 0.0000 0.5000 0.5000
```

Record 7
For Pr4Te3C, a crystal structure in Alexandria, relaxed with GGA-PBE gives the theoretical powder XRD pattern in this record (Cu Kα X-rays).
Intensities are scaled so that the largest is 100.

Main lines, in order of rising 2θ (2θ = 15–90°):
| 2θ (°) | d [Å] | intensity | hkl |
| --- | --- | --- | --- |
| 28.63 | 3.118 | 100 | 1 2 1 |
| 29.05 | 3.074 | 54 | 2 0 -2 |
| 33.65 | 2.664 | 13 | 1 3 -1 |
| 40.40 | 2.233 | 32 | 3 2 -1 |
| 40.70 | 2.217 | 14 | 0 4 0 |
| 41.16 | 2.193 | 16 | 2 0 2 |
| 42.06 | 2.148 | 35 | 1 2 -3 |
| 50.78 | 1.798 | 13 | 2 4 -2 |

Cell and atoms:
```
data_Pr4Te3C
_chemical_formula_sum 'Pr8 Te6 C2'
_space_group_name_H-M_alt 'P 1 2/c 1'
_space_group_IT_number 13
_space_group_name_Hall '-P 2yc'
_cell_length_a 7.755
_cell_length_b 8.867
_cell_length_c 7.367
_cell_angle_alpha 90.00
_cell_angle_beta 109.02
_cell_angle_gamma 90.00
loop_
_atom_site_label
_atom_site_type_symbol
_atom_site_fract_x
_atom_site_fract_y
_atom_site_fract_z
Pr1 Pr 0.200 0.102 0.499
Pr2 Pr 0.217 0.327 0.961
Te1 Te 0.000 0.382 0.250
Te2 Te 0.500 0.120 0.250
Te3 Te 0.500 0.377 0.750
C1 C 0.000 0.124 0.750
```

Record 8
For RbPrB12, a crystal structure in Alexandria, relaxed with GGA-PBE gives the theoretical powder XRD pattern in this record (Cu Kα X-rays).
Intensities are scaled so that the largest is 100.

Main lines, in order of rising 2θ (2θ = 15–90°):
| 2θ (°) | d [Å] | intensity | hkl |
| --- | --- | --- | --- |
| 21.12 | 4.207 | 53 | 2 0 0 |
| 30.04 | 2.975 | 100 | 2 2 0 |
| 37.01 | 2.429 | 42 | 2 2 2 |
| 43.00 | 2.104 | 22 | 4 0 0 |
| 48.38 | 1.882 | 48 | 4 2 0 |
| 53.34 | 1.718 | 24 | 4 2 2 |
| 66.69 | 1.402 | 28 | 4 4 2 |
| 70.82 | 1.330 | 20 | 6 2 0 |

Cell and atoms:
```
data_RbPrB12
_chemical_formula_sum 'Rb4 Pr4 B48'
_space_group_name_H-M_alt 'F m -3 m'
_space_group_IT_number 225
_space_group_name_Hall '-F 4 2 3'
_cell_length_a 8.414
_cell_length_b 8.414
_cell_length_c 8.414
_cell_angle_alpha 90.00
_cell_angle_beta 90.00
_cell_angle_gamma 90.00
loop_
_atom_site_label
_atom_site_type_symbol
_atom_site_fract_x
_atom_site_fract_y
_atom_site_fract_z
Rb1 Rb 0.000 0.000 0.000
Pr1 Pr 0.000 0.000 0.500
B1 B 0.101 0.250 0.250
```

Record 9
For LiCa4U3As8, a crystal structure in Alexandria, relaxed with GGA-PBE gives the theoretical powder XRD pattern in this record (Cu Kα X-rays).
Intensities are scaled so that the largest is 100.

Main lines, in order of rising 2θ (2θ = 15–90°):
| 2θ (°) | d [Å] | intensity | hkl |
| --- | --- | --- | --- |
| 25.17 | 3.538 | 27 | 0 2 1 |
| 30.47 | 2.934 | 100 | 0 2 4 |
| 39.91 | 2.259 | 18 | 0 2 7 |
| 43.63 | 2.074 | 73 | 2 2 0 |
| 45.75 | 1.983 | 17 | 2 2 3 |
| 54.15 | 1.694 | 25 | 4 0 4 |
| 71.97 | 1.312 | 31 | 2 4 4 |
| 80.13 | 1.198 | 23 | 6 0 0 |

Cell and atoms:
```
data_LiCa4U3As8
_chemical_formula_sum 'Li3 Ca12 U9 As24'
_space_group_name_H-M_alt 'R -3 m'
_space_group_IT_number 166
_space_group_name_Hall '-R 3 2"'
_cell_length_a 8.2955
_cell_length_b 8.2955
_cell_length_c 20.3384
_cell_angle_alpha 90.00
_cell_angle_beta 90.00
_cell_angle_gamma 120.00
loop_
_atom_site_label
_atom_site_type_symbol
_atom_site_fract_x
_atom_site_fract_y
_atom_site_fract_z
Li1 Li 0.0000 0.0000 0.0000
Ca1 Ca 0.0000 0.0000 0.5000
Ca2 Ca 0.0000 0.5000 0.5000
U1 U 0.0000 0.5000 0.0000
As1 As 0.0000 0.0000 0.2562
As2 As 0.0095 0.5048 0.2588
```

Record 10
For TiOsPbO6, a crystal structure in Alexandria, relaxed with GGA-PBE gives the theoretical powder XRD pattern in this record (Cu Kα X-rays).
Intensities are scaled so that the largest is 100.

Main lines, in order of rising 2θ (2θ = 15–90°):
| 2θ (°) | d [Å] | intensity | hkl |
| --- | --- | --- | --- |
| 16.79 | 5.280 | 70 | 0 0 2 |
| 24.96 | 3.567 | 24 | 2 0 0 |
| 29.04 | 3.075 | 100 | 1 2 1 |
| 30.23 | 2.956 | 54 | 2 0 2 |
| 37.90 | 2.374 | 40 | 1 2 3 |
| 46.57 | 1.950 | 23 | 3 2 1 |
| 51.81 | 1.765 | 22 | 1 2 5 |
| 52.97 | 1.729 | 18 | 3 2 3 |

Cell and atoms:
```
data_TiOsPbO6
_chemical_formula_sum 'Ti4 Os4 Pb4 O24'
_space_group_name_H-M_alt 'I m m a'
_space_group_IT_number 74
_space_group_name_Hall '-I 2b 2'
_cell_length_a 7.135
_cell_length_b 7.201
_cell_length_c 10.561
_cell_angle_alpha 90.00
_cell_angle_beta 90.00
_cell_angle_gamma 90.00
loop_
_atom_site_label
_atom_site_type_symbol
_atom_site_fract_x
_atom_site_fract_y
_atom_site_fract_z
Ti1 Ti 0.250 0.250 0.250
Os1 Os 0.000 0.000 0.000
Pb1 Pb 0.000 0.250 0.519
O1 O 0.000 0.250 0.308
O2 O 0.000 0.250 0.938
O3 O 0.198 0.063 0.116
```